[1]
Diffraction record for AcMgZnAg2. The X-ray diffraction stick pattern is theoretical, not measured: it uses DFT lattice parameters and positions (GGA-PBE) and CuKα.
Lines closer than 0.1° are merged.

Structure:
Lattice parameters (Å, degrees): 6.9229 6.9229 6.9229 142.95 142.95 53.40
Sites, in units of the cell vectors:
Ac1 0.0000 0.0000 0.0000
Mg1 0.7500 0.2500 0.5000
Zn1 0.2500 0.7500 0.5000
Ag1 0.3852 0.3852 0.0000
Ag2 0.6148 0.6148 0.0000

Principal peaks in the range 10 to 90 degrees two-theta, in order of falling intensity:
two_theta, intensity
29.7, 100
32.2, 80
41.9, 58
28.7, 54
41.0, 50
51.5, 43
60.1, 40
14.3, 25
69.2, 17
59.4, 17

=====

[2]
Diffraction record for AcMg2ZnAg2. The X-ray diffraction stick pattern is theoretical, not measured: it uses DFT lattice parameters and positions (GGA-PBE) and CuKα.
Lines closer than 0.1° are merged.

Structure:
Lattice parameters (Å, degrees): 6.9050 6.9050 6.9050 135.57 135.57 64.65
Sites, in units of the cell vectors:
Ac1 0.0000 0.0000 0.0000
Mg1 0.2500 0.7500 0.5000
Mg2 0.7500 0.2500 0.5000
Zn1 0.5000 0.5000 0.0000
Ag1 0.2868 0.2868 0.0000
Ag2 0.7132 0.7132 0.0000

Principal peaks in the range 10 to 90 degrees two-theta, in order of falling intensity:
two_theta, intensity
24.1, 100
28.6, 63
34.3, 61
39.4, 41
46.7, 38
45.3, 30
30.6, 29
69.2, 24
58.1, 22
49.4, 21